Calculated powder XRD pattern
Compound: Rb3CaCe2S6
Radiation: Cu Ka
Structure: DFT lattice parameters and positions (PBE)
Peak positions follow from Bragg's law for the DFT cell and can differ from measured ones.

Structural model:
Unit cell a=7.281 b=12.610 c=8.021 alpha=90.00 beta=107.60 gamma=90.00
Space group C2/m (No. 12)
Asymmetric unit:
Rb (0.000, 0.000, 0.000) (multiplicity 2)
Rb (0.000, 0.337, 0.000) (multiplicity 4)
Ca (0.000, 0.500, 0.500) (multiplicity 2)
Ce (0.000, 0.167, 0.500) (multiplicity 4)
S (0.221, 0.000, 0.693) (multiplicity 4)
S (0.236, 0.328, 0.694) (multiplicity 8)

Main lines, in order of rising 2θ (10° ≤ 2θ ≤ 80°):
- d 3.823, 23.3°, I 17.9, hkl 0 0 2
- d 3.470, 25.7°, I 34.1, hkl 2 0 0
- d 3.073, 29.1°, I 100.0, hkl 1 3 1
- d 2.252, 40.0°, I 34.4, hkl 2 0 2
- d 2.102, 43.0°, I 34.3, hkl 3 3 -1
- d 1.735, 52.8°, I 17.5, hkl 4 0 0

Calculated powder XRD pattern
Compound: Rb2CaCeS4
Radiation: Cu Ka
Structure: DFT lattice parameters and positions (PBE)
Peak positions follow from Bragg's law for the DFT cell and can differ from measured ones.

Structural model:
Unit cell a=7.182 b=4.217 c=8.002 alpha=90.00 beta=107.64 gamma=90.00
Space group P2/m (No. 10)
Asymmetric unit:
Rb (0.000, 0.000, 0.000) (multiplicity 1)
Rb (0.500, 0.500, 0.000) (multiplicity 1)
Ca (0.000, 0.500, 0.500) (multiplicity 1)
Ce (0.500, 0.000, 0.500) (multiplicity 1)
S (0.246, 0.000, 0.692) (multiplicity 2)
S (0.280, 0.500, 0.308) (multiplicity 2)

Main lines, in order of rising 2θ (10° ≤ 2θ ≤ 80°):
- d 3.813, 23.3°, I 24.4, hkl 0 0 2
- d 3.468, 25.7°, I 30.0, hkl 1 1 -1
- d 3.066, 29.1°, I 100.0, hkl 1 1 1
- d 3.047, 29.3°, I 48.3, hkl 2 0 -2
- d 2.250, 40.1°, I 33.2, hkl 1 1 -3
- d 2.082, 43.5°, I 33.1, hkl 3 1 -1

Calculated powder XRD pattern
Compound: CaCeRh
Radiation: Cu Ka
Structure: DFT lattice parameters and positions (PBE)
Peak positions follow from Bragg's law for the DFT cell and can differ from measured ones.

Structural model:
Unit cell a=3.519 b=3.520 c=12.030 alpha=89.95 beta=89.92 gamma=89.97
Space group P-1 (No. 2)
Asymmetric unit:
Ca (0.249, 0.250, 0.132) (multiplicity 2)
Ce (0.250, 0.250, 0.414) (multiplicity 2)
Rh (0.250, 0.249, 0.702) (multiplicity 2)

Main lines, in order of rising 2θ (10° ≤ 2θ ≤ 80°):
- d 2.645, 33.9°, I 100.0, hkl 1 0 3
- d 2.489, 36.1°, I 65.8, hkl 1 1 0
- d 2.437, 36.9°, I 22.6, hkl -1 1 1
- d 2.286, 39.4°, I 61.4, hkl 0 1 4
- d 1.760, 52.0°, I 22.7, hkl 2 0 0
- d 1.465, 63.5°, I 31.4, hkl 2 -1 3

Calculated powder XRD pattern
Compound: Ca2CeS3
Radiation: Cu Ka
Structure: DFT lattice parameters and positions (PBE)
Peak positions follow from Bragg's law for the DFT cell and can differ from measured ones.

Structural model:
Unit cell a=4.026 b=5.730 c=12.194 alpha=90.00 beta=90.00 gamma=90.00
Space group Immm (No. 71)
Asymmetric unit:
Ca (0.000, 0.000, 0.167) (multiplicity 4)
Ce (0.000, 0.000, 0.500) (multiplicity 2)
S (0.000, 0.500, 0.169) (multiplicity 4)
S (0.000, 0.500, 0.500) (multiplicity 2)

Main lines, in order of rising 2θ (10° ≤ 2θ ≤ 80°):
- d 6.097, 14.5°, I 16.8, hkl 0 0 2
- d 5.186, 17.1°, I 24.2, hkl 0 1 1
- d 3.315, 26.9°, I 13.8, hkl 0 1 3
- d 2.862, 31.3°, I 100.0, hkl 1 0 3
- d 2.024, 44.8°, I 46.3, hkl 1 2 3
- d 1.280, 74.0°, I 19.5, hkl 2 2 6

Calculated powder XRD pattern
Compound: CaCeSc4Se8
Radiation: Cu Ka
Structure: DFT lattice parameters and positions (PBE)
Peak positions follow from Bragg's law for the DFT cell and can differ from measured ones.

Structural model:
Unit cell a=8.1025 b=8.1025 c=20.5961 alpha=90.00 beta=90.00 gamma=120.00
Space group R3m (No. 160, hexagonal axes)
Asymmetric unit:
Ca (0.0000, 0.0000, 0.0000) (multiplicity 3)
Ce (0.0000, 0.0000, 0.6307) (multiplicity 3)
Sc (0.0000, 0.0000, 0.2569) (multiplicity 3)
Sc (0.1681, 0.3362, 0.4625) (multiplicity 9)
Se (0.0000, 0.0000, 0.3877) (multiplicity 3)
Se (0.0000, 0.0000, 0.8651) (multiplicity 3)
Se (0.0222, 0.5111, 0.3911) (multiplicity 9)
Se (0.1696, 0.3393, 0.2052) (multiplicity 9)

Main lines, in order of rising 2θ (10° ≤ 2θ ≤ 80°):
- d 6.642, 13.3°, I 26.8, hkl 1 0 1
- d 3.489, 25.5°, I 30.8, hkl 1 1 3
- d 3.321, 26.8°, I 28.7, hkl 2 0 2
- d 2.899, 30.8°, I 100.0, hkl 0 2 4
- d 2.076, 43.6°, I 48.7, hkl 2 0 8
- d 2.026, 44.7°, I 52.8, hkl 2 2 0

Calculated powder XRD pattern
Compound: CaCe2Se4
Radiation: Cu Ka
Structure: DFT lattice parameters and positions (PBE)
Peak positions follow from Bragg's law for the DFT cell and can differ from measured ones.

Structural model:
Unit cell a=8.514 b=8.555 c=11.873 alpha=90.00 beta=90.00 gamma=90.00
Space group Imma (No. 74)
Asymmetric unit:
Ca (0.250, 0.250, 0.250) (multiplicity 4)
Ce (0.000, 0.000, 0.000) (multiplicity 4)
Ce (0.250, 0.250, 0.750) (multiplicity 4)
Se (0.000, 0.001, 0.750) (multiplicity 8)
Se (0.236, 0.250, 0.998) (multiplicity 8)

Main lines, in order of rising 2θ (10° ≤ 2θ ≤ 80°):
- d 6.925, 12.8°, I 58.5, hkl 1 0 1
- d 3.635, 24.5°, I 19.7, hkl 1 2 1
- d 3.017, 29.6°, I 100.0, hkl 2 2 0
- d 2.968, 30.1°, I 48.2, hkl 0 0 4
- d 2.116, 42.7°, I 72.3, hkl 2 2 4
- d 1.735, 52.8°, I 19.5, hkl 0 4 4

Calculated powder XRD pattern
Compound: Ca2CeSe4
Radiation: Cu Ka
Structure: DFT lattice parameters and positions (PBE)
Peak positions follow from Bragg's law for the DFT cell and can differ from measured ones.

Structural model:
Unit cell a=8.854 b=8.854 c=8.904 alpha=90.00 beta=90.00 gamma=90.00
Space group I-42d (No. 122)
Asymmetric unit:
Ca (0.120, 0.750, 0.125) (multiplicity 8)
Ce (0.000, 0.000, 0.500) (multiplicity 4)
Se (0.067, 0.682, 0.450) (multiplicity 16)

Main lines, in order of rising 2θ (10° ≤ 2θ ≤ 80°):
- d 6.278, 14.1°, I 29.6, hkl 1 0 1
- d 2.814, 31.8°, I 63.3, hkl 1 0 3
- d 2.801, 32.0°, I 100.0, hkl 3 0 1
- d 2.371, 37.9°, I 77.9, hkl 3 1 2
- d 2.367, 38.0°, I 37.0, hkl 3 2 1
- d 1.437, 64.9°, I 24.1, hkl 6 1 1

Calculated powder XRD pattern
Compound: CaCe6Se8
Radiation: Cu Ka
Structure: DFT lattice parameters and positions (PBE)
Peak positions follow from Bragg's law for the DFT cell and can differ from measured ones.

Structural model:
Unit cell a=11.879 b=11.879 c=11.879 alpha=90.00 beta=90.00 gamma=90.00
Space group Fm-3m (No. 225)
Asymmetric unit:
Ca (0.000, 0.000, 0.000) (multiplicity 4)
Ce (0.000, 0.250, 0.250) (multiplicity 24)
Se (0.000, 0.000, 0.249) (multiplicity 24)
Se (0.250, 0.250, 0.250) (multiplicity 8)

Main lines, in order of rising 2θ (10° ≤ 2θ ≤ 80°):
- d 5.940, 14.9°, I 12.7, hkl 2 0 0
- d 2.970, 30.1°, I 100.0, hkl 4 0 0
- d 2.100, 43.1°, I 74.1, hkl 4 4 0
- d 1.715, 53.4°, I 26.1, hkl 4 4 4
- d 1.328, 71.0°, I 33.2, hkl 8 4 0
- d 1.212, 79.0°, I 24.8, hkl 8 4 4

Calculated powder XRD pattern
Compound: CaCe2Se4
Radiation: Cu Ka
Structure: DFT lattice parameters and positions (PBE)
Peak positions follow from Bragg's law for the DFT cell and can differ from measured ones.

Structural model:
Unit cell a=4.147 b=13.895 c=14.165 alpha=90.00 beta=90.00 gamma=90.00
Space group Cmcm (No. 63)
Asymmetric unit:
Ca (0.000, 0.116, 0.250) (multiplicity 4)
Ce (0.000, 0.367, 0.071) (multiplicity 8)
Se (0.000, 0.000, 0.000) (multiplicity 4)
Se (0.000, 0.275, 0.621) (multiplicity 8)
Se (0.000, 0.467, 0.250) (multiplicity 4)

Main lines, in order of rising 2θ (10° ≤ 2θ ≤ 80°):
- d 3.905, 22.8°, I 68.6, hkl 0 2 3
- d 3.155, 28.3°, I 67.5, hkl 0 2 4
- d 3.019, 29.6°, I 76.2, hkl 1 3 1
- d 2.832, 31.6°, I 100.0, hkl 1 3 2
- d 2.307, 39.0°, I 52.6, hkl 1 1 5
- d 2.074, 43.6°, I 97.6, hkl 2 0 0

Calculated powder XRD pattern
Compound: CaCe3Sm4Se8
Radiation: Cu Ka
Structure: DFT lattice parameters and positions (PBE)
Peak positions follow from Bragg's law for the DFT cell and can differ from measured ones.

Structural model:
Unit cell a=14.512 b=8.394 c=8.381 alpha=90.00 beta=125.17 gamma=90.00
Space group C2/m (No. 12)
Asymmetric unit:
Ca (0.000, 0.000, 0.000) (multiplicity 2)
Ce (0.000, 0.500, 0.000) (multiplicity 2)
Ce (0.250, 0.250, 0.500) (multiplicity 4)
Sm (0.000, 0.000, 0.500) (multiplicity 2)
Sm (0.000, 0.500, 0.500) (multiplicity 2)
Sm (0.250, 0.250, 0.000) (multiplicity 4)
Se (0.001, 0.247, 0.751) (multiplicity 8)
Se (0.248, 0.000, 0.750) (multiplicity 4)
Se (0.249, 0.000, 0.247) (multiplicity 4)

Main lines, in order of rising 2θ (10° ≤ 2θ ≤ 80°):
- d 2.966, 30.1°, I 100.0, hkl 4 0 0
- d 2.097, 43.1°, I 74.3, hkl 2 2 2
- d 1.713, 53.5°, I 19.6, hkl 4 4 0
- d 1.483, 62.7°, I 12.1, hkl 8 0 0
- d 1.326, 71.1°, I 33.3, hkl 6 2 2
- d 1.211, 79.1°, I 18.7, hkl 8 4 0

Calculated powder XRD pattern
Compound: CaCe2SmTl4
Radiation: Cu Ka
Structure: DFT lattice parameters and positions (PBE)
Peak positions follow from Bragg's law for the DFT cell and can differ from measured ones.

Structural model:
Unit cell a=5.4886 b=5.4886 c=27.1270 alpha=90.00 beta=90.00 gamma=120.00
Space group R-3m (No. 166, hexagonal axes)
Asymmetric unit:
Ca (0.0000, 0.0000, 0.0000) (multiplicity 3)
Ce (0.0000, 0.0000, 0.2530) (multiplicity 6)
Sm (0.0000, 0.0000, 0.5000) (multiplicity 3)
Tl (0.0000, 0.0000, 0.1260) (multiplicity 6)
Tl (0.0000, 0.0000, 0.3762) (multiplicity 6)

Main lines, in order of rising 2θ (10° ≤ 2θ ≤ 80°):
- d 2.760, 32.4°, I 100.0, hkl 0 1 8
- d 2.744, 32.6°, I 99.1, hkl 1 1 0
- d 1.946, 46.7°, I 36.7, hkl 2 0 8
- d 1.597, 57.7°, I 19.2, hkl 1 0 16
- d 1.588, 58.1°, I 38.3, hkl 1 2 8
- d 1.584, 58.2°, I 19.2, hkl 3 0 0

Calculated powder XRD pattern
Compound: CaCeSm2Tl4
Radiation: Cu Ka
Structure: DFT lattice parameters and positions (PBE)
Peak positions follow from Bragg's law for the DFT cell and can differ from measured ones.

Structural model:
Unit cell a=5.4697 b=5.4697 c=27.1932 alpha=90.00 beta=90.00 gamma=120.00
Space group R-3m (No. 166, hexagonal axes)
Asymmetric unit:
Ca (0.0000, 0.0000, 0.0000) (multiplicity 3)
Ce (0.0000, 0.0000, 0.5000) (multiplicity 3)
Sm (0.0000, 0.0000, 0.2539) (multiplicity 6)
Tl (0.0000, 0.0000, 0.1260) (multiplicity 6)
Tl (0.0000, 0.0000, 0.3761) (multiplicity 6)

Main lines, in order of rising 2θ (10° ≤ 2θ ≤ 80°):
- d 2.762, 32.4°, I 100.0, hkl 0 1 8
- d 2.735, 32.7°, I 98.4, hkl 1 1 0
- d 1.943, 46.7°, I 36.5, hkl 2 0 8
- d 1.600, 57.6°, I 19.0, hkl 1 0 16
- d 1.584, 58.2°, I 38.1, hkl 1 2 8
- d 1.579, 58.5°, I 19.0, hkl 3 0 0